No. 1
This entry pairs a crystal structure of Cs2K2InBi2 with its theoretical powder diffractogram. Radiation: Cu Kα X-rays. Structure: a DFT-relaxed cell (PBE, Alexandria).

Principal peaks in the range 10° ≤ 2θ ≤ 80°, in order of rising 2θ:
2theta, I (rel.)
12.71, 50
25.59, 46
26.87, 58
27.27, 100
28.39, 67
28.78, 63
31.04, 70
32.10, 53
34.34, 52
48.16, 52

Atomic structure:
Unit cell a=7.5965 b=7.5965 c=10.6850 alpha=116.27 beta=116.27 gamma=40.22
Positions (direct):
Cs  0.1543  0.1543  0.3201
Cs  0.8457  0.8457  0.6799
K  0.3649  0.3649  0.0847
K  0.6351  0.6351  0.9153
In  0.5000  0.5000  0.5000
Bi  0.1329  0.1329  0.6822
Bi  0.8671  0.8671  0.3178

No. 2
This entry pairs a crystal structure of KCr5S8 with its theoretical powder diffractogram. Radiation: Cu Kα X-rays. Structure: a DFT-relaxed cell (PBE, Alexandria).

Principal peaks in the range 10° ≤ 2θ ≤ 80°, in order of rising 2θ:
2theta, I (rel.)
10.20, 46
10.56, 95
12.54, 49
32.50, 43
33.15, 100
34.26, 42
40.97, 59
47.54, 46
52.24, 40
52.67, 73

Atomic structure:
Unit cell a=9.1836 b=9.1836 c=8.7026 alpha=105.47 beta=105.47 gamma=21.98
Positions (direct):
K  0.0000  0.0000  0.0000
Cr  0.1580  0.1580  0.4709
Cr  0.2042  0.2042  0.8342
Cr  0.5000  0.5000  0.5000
Cr  0.7958  0.7958  0.1658
Cr  0.8420  0.8420  0.5291
S  0.0774  0.0774  0.6466
S  0.2621  0.2621  0.3449
S  0.3285  0.3285  0.0146
S  0.4162  0.4162  0.6745
S  0.5838  0.5838  0.3255
S  0.6715  0.6715  0.9854
S  0.7379  0.7379  0.6551
S  0.9226  0.9226  0.3534

Copy entry 2 word for word.
This entry pairs a crystal structure of KCr5S8 with its theoretical powder diffractogram. Radiation: Cu Kα X-rays. Structure: a DFT-relaxed cell (PBE, Alexandria).

Principal peaks in the range 10° ≤ 2θ ≤ 80°, in order of rising 2θ:
2theta, I (rel.)
10.20, 46
10.56, 95
12.54, 49
32.50, 43
33.15, 100
34.26, 42
40.97, 59
47.54, 46
52.24, 40
52.67, 73

Atomic structure:
Unit cell a=9.1836 b=9.1836 c=8.7026 alpha=105.47 beta=105.47 gamma=21.98
Positions (direct):
K  0.0000  0.0000  0.0000
Cr  0.1580  0.1580  0.4709
Cr  0.2042  0.2042  0.8342
Cr  0.5000  0.5000  0.5000
Cr  0.7958  0.7958  0.1658
Cr  0.8420  0.8420  0.5291
S  0.0774  0.0774  0.6466
S  0.2621  0.2621  0.3449
S  0.3285  0.3285  0.0146
S  0.4162  0.4162  0.6745
S  0.5838  0.5838  0.3255
S  0.6715  0.6715  0.9854
S  0.7379  0.7379  0.6551
S  0.9226  0.9226  0.3534